The following is a simulated X-ray powder pattern of Mn2O3F. It was derived from DFT lattice parameters and positions (PBE+U), using Cu Kα.

Main lines, in order of rising 2θ (10° ≤ 2θ ≤ 90°):
2θ/deg	I_rel
26.9	86.1
28.2	90.4
35.5	100.0
53.3	52.2
54.8	52.7
68.9	35.0

Atomic structure:
```
data_Mn2O3F
_chemical_formula_sum 'Mn16 O24 F8'
_space_group_name_H-M_alt 'C m c m'
_space_group_IT_number 63
_space_group_name_Hall '-C 2c 2'
_cell_length_a 6.328
_cell_length_b 6.625
_cell_length_c 12.125
_cell_angle_alpha 90.00
_cell_angle_beta 90.00
_cell_angle_gamma 90.00
loop_
_atom_site_label
_atom_site_type_symbol
_atom_site_fract_x
_atom_site_fract_y
_atom_site_fract_z
Mn1 Mn 0.000 0.000 0.000
Mn2 Mn 0.000 0.009 0.250
Mn3 Mn 0.000 0.477 0.125
O1 O 0.000 0.188 0.124
O2 O 0.191 0.500 0.000
O3 O 0.195 0.482 0.250
F1 F 0.000 0.215 0.631
```